(1)
Starting from a crystal structure in Alexandria, relaxed with PBE, the X-ray powder pattern of Pr2Ni3Ge4 was calculated for λ = 1.5418 Å (Cu Kα).

Atomic structure:
Cell: 5.449 9.914 12.070 Å, 90.00 90.00 90.00°
Space group Fmmm (No. 69)
One atom of each set of equivalent atoms:
Pr 0.000 0.000 0.138
Ni 0.000 0.000 0.500
Ni 0.250 0.250 0.000
Ge 0.000 0.175 0.349

Main lines, by intensity (5 to 70 degrees two-theta):
38.95°, I 100, hkl 1 3 3
32.54°, I 39, hkl 1 3 1
44.82°, I 31, hkl 2 0 4
32.87°, I 30, hkl 2 0 0
62.78°, I 24, hkl 3 3 3
36.22°, I 21, hkl 0 4 0
29.02°, I 20, hkl 1 1 3
66.14°, I 17, hkl 2 6 0
63.17°, I 16, hkl 1 3 7
45.07°, I 16, hkl 0 0 6


(2)
Starting from a crystal structure in Alexandria, relaxed with PBE, the X-ray powder pattern of Sc12Co6Si was calculated for λ = 1.5418 Å (Cu Kα).

Atomic structure:
Cell: 8.901 8.901 8.901 Å, 90.00 90.00 90.00°
Space group Im-3 (No. 204)
One atom of each set of equivalent atoms:
Sc 0.000 0.197 0.293
Co 0.000 0.379 0.500
Si 0.000 0.000 0.000

Main lines, by intensity (5 to 70 degrees two-theta):
37.82°, I 100, hkl 3 2 1
52.41°, I 32, hkl 5 1 0
34.92°, I 31, hkl 2 2 2
14.07°, I 26, hkl 1 1 0
40.54°, I 19, hkl 4 0 0
19.95°, I 16, hkl 2 0 0
43.12°, I 14, hkl 3 3 0
62.62°, I 14, hkl 6 0 0
64.54°, I 13, hkl 5 3 2
60.66°, I 11, hkl 5 0 3


(3)
Starting from a crystal structure in Alexandria, relaxed with PBE, the X-ray powder pattern of V3Ir2Pt3 was calculated for λ = 1.5418 Å (Cu Kα).

Atomic structure:
Cell: 3.859 3.903 15.340 Å, 90.00 90.00 90.00°
Space group Immm (No. 71)
One atom of each set of equivalent atoms:
V 0.000 0.000 0.000
V 0.000 0.500 0.133
Ir 0.000 0.000 0.254
Pt 0.000 0.000 0.500
Pt 0.000 0.500 0.379

Main lines, by intensity (5 to 70 degrees two-theta):
40.42°, I 100, hkl 1 1 4
23.78°, I 21, hkl 1 0 1
46.54°, I 17, hkl 0 2 0
47.10°, I 16, hkl 2 0 0
47.41°, I 15, hkl 0 0 8
68.37°, I 11, hkl 2 2 0
37.28°, I 10, hkl 0 1 5
68.62°, I 10, hkl 0 2 8
69.06°, I 10, hkl 2 0 8
28.78°, I 8, hkl 0 1 3


(4)
Starting from a crystal structure in Alexandria, relaxed with PBE, the X-ray powder pattern of CeY2Si6 was calculated for λ = 1.5418 Å (Cu Kα).

Atomic structure:
Cell: 7.0724 7.0724 4.0149 Å, 90.00 90.00 120.00°
Space group P6/mmm (No. 191)
One atom of each set of equivalent atoms:
Ce 0.0000 0.0000 0.0000
Y 0.3333 0.6667 0.0000
Si 0.0000 0.3340 0.5000

Main lines, by intensity (5 to 70 degrees two-theta):
33.78°, I 100, hkl 1 1 1
25.18°, I 35, hkl 1 1 0
44.37°, I 33, hkl 3 0 0
56.90°, I 22, hkl 2 2 1
65.17°, I 21, hkl 3 0 2
45.17°, I 12, hkl 0 0 2
52.41°, I 9, hkl 1 1 2
22.14°, I 6, hkl 0 0 1
14.46°, I 5, hkl 1 0 0
51.70°, I 5, hkl 2 2 0


(5)
Starting from a crystal structure in Alexandria, relaxed with PBE, the X-ray powder pattern of TbEr2ThP4 was calculated for λ = 1.5418 Å (Cu Kα).

Atomic structure:
Cell: 6.967 4.037 6.978 Å, 90.00 109.49 90.00°
Space group P2/m (No. 10)
One atom of each set of equivalent atoms:
Tb 0.000 0.000 0.000
Er 0.500 0.000 0.500
Er 0.500 0.500 0.000
Th 0.000 0.500 0.500
P 0.255 0.500 0.250
P 0.258 0.000 0.755

Main lines, by intensity (5 to 70 degrees two-theta):
31.40°, I 100, hkl 1 1 1
27.10°, I 94, hkl 2 0 0
44.95°, I 37, hkl 0 2 0
45.04°, I 37, hkl 2 0 2
53.30°, I 35, hkl 2 2 0
55.86°, I 19, hkl 0 0 4
65.53°, I 12, hkl 2 2 2
53.39°, I 12, hkl 3 1 1
56.00°, I 6, hkl 4 0 0
13.47°, I 2, hkl 0 0 1


(6)
Starting from a crystal structure in Alexandria, relaxed with PBE, the X-ray powder pattern of Ca3Ge2Au9 was calculated for λ = 1.5418 Å (Cu Kα).

Atomic structure:
Cell: 9.480 13.767 4.530 Å, 90.00 90.00 90.00°
Space group Pnnm (No. 58)
One atom of each set of equivalent atoms:
Ca 0.000 0.000 0.000
Ca 0.010 0.315 0.000
Ge 0.162 0.186 0.500
Au 0.000 0.500 0.500
Au 0.100 0.839 0.500
Au 0.212 0.503 0.000
Au 0.226 0.368 0.500
Au 0.234 0.635 0.500

Main lines, by intensity (5 to 70 degrees two-theta):
33.62°, I 100, hkl 2 3 1
39.79°, I 37, hkl 0 0 2
18.72°, I 30, hkl 2 0 0
42.91°, I 24, hkl 2 5 1
39.27°, I 19, hkl 0 6 0
21.51°, I 19, hkl 1 3 0
37.06°, I 18, hkl 3 2 1
21.74°, I 18, hkl 1 0 1
43.72°, I 16, hkl 3 4 1
47.62°, I 16, hkl 4 3 1


(7)
Starting from a crystal structure in Alexandria, relaxed with PBE, the X-ray powder pattern of Na7LiPb3 was calculated for λ = 1.5418 Å (Cu Kα).

Atomic structure:
Cell: 7.5123 7.5123 7.7114 Å, 90.00 90.00 120.00°
Space group P3m1 (No. 156)
One atom of each set of equivalent atoms:
Na 0.0000 0.0000 0.0000
Na 0.9996 0.4998 0.9505
Na 0.1693 0.3386 0.5599
Li 0.6667 0.3333 0.5797
Pb 0.3817 0.1908 0.2790

Main lines, by intensity (5 to 70 degrees two-theta):
11.48°, I 100, hkl 0 0 1
29.81°, I 81, hkl 2 0 1
36.13°, I 54, hkl 0 2 2
17.84°, I 45, hkl 0 1 1
13.61°, I 34, hkl 1 0 0
27.42°, I 30, hkl 2 0 0
38.42°, I 20, hkl 1 2 1
55.41°, I 20, hkl 2 0 4
67.22°, I 20, hkl 0 2 5
26.88°, I 20, hkl 1 0 2


(8)
Starting from a crystal structure in Alexandria, relaxed with PBE, the X-ray powder pattern of Cu3AgPd4 was calculated for λ = 1.5418 Å (Cu Kα).

Atomic structure:
Cell: 8.925 5.649 4.618 Å, 90.00 90.00 90.00°
Space group Pmma (No. 51)
One atom of each set of equivalent atoms:
Cu 0.000 0.000 0.000
Cu 0.250 0.000 0.359
Cu 0.250 0.500 0.371
Ag 0.000 0.500 0.000
Pd 0.000 0.242 0.500
Pd 0.250 0.242 0.866

Main lines, by intensity (5 to 70 degrees two-theta):
42.65°, I 100, hkl 2 2 1
40.40°, I 60, hkl 4 0 0
38.71°, I 23, hkl 1 2 1
44.16°, I 22, hkl 2 0 2
69.55°, I 13, hkl 0 2 3
66.17°, I 13, hkl 0 4 0
48.63°, I 12, hkl 3 2 1
39.01°, I 10, hkl 0 0 2
50.00°, I 10, hkl 3 0 2
57.43°, I 6, hkl 4 0 2